Diffraction record for OsC. The X-ray diffraction stick pattern is computed, not measured: it uses a crystal structure in the Materials Project, relaxed with PBE and CuKα.

Structure:
a b c (Å): 3.084 3.084 3.084
angles (deg): 60.00 60.00 60.00
Atoms (fractional coordinates):
Os 0.000 0.000 0.000
C 0.500 0.500 0.500

Peak list (6 most intense, 2θ = 10–90°, in order of rising 2θ)
two_theta  I_rel
35.6  100
41.4  62
60.0  42
71.8  42
75.5  14
90.0  7

Diffraction record for OsC. The X-ray diffraction stick pattern is computed, not measured: it uses a crystal structure in the Materials Project, relaxed with PBE and CuKα.

Structure:
a b c (Å): 4.466 4.466 4.466
angles (deg): 90.00 90.00 90.00
Atoms (fractional coordinates):
Os 0.180 0.320 0.680
Os 0.320 0.680 0.180
Os 0.680 0.180 0.320
Os 0.820 0.820 0.820
C 0.057 0.943 0.443
C 0.443 0.057 0.943
C 0.557 0.557 0.557
C 0.943 0.443 0.057

Peak list (10 most intense, 2θ = 10–90°, in order of rising 2θ)
two_theta  I_rel
28.3  62
34.8  100
40.4  32
45.4  78
50.0  32
58.5  11
62.4  25
66.2  34
77.0  17
80.5  38